1.
Ba4DyTl5: computed powder X-ray diffraction pattern (Cu Ka), based on a DFT-relaxed cell (PBE, Alexandria).

The 12 most intense peaks (5 to 70 degrees two-theta), sorted by position:
2θ/deg, intensity
21.54, 4.2
27.20, 4.6
29.95, 100.0
30.64, 54.9
41.84, 6.4
43.88, 20.6
49.17, 5.9
52.75, 13.1
54.04, 38.7
62.24, 8.0
63.80, 6.9
64.51, 5.9

```
data_Ba4DyTl5
_cell_length_a 4.126
_cell_length_b 4.126
_cell_length_c 21.589
_cell_angle_alpha 90.00
_cell_angle_beta 90.00
_cell_angle_gamma 90.00
_symmetry_space_group_name_H-M 'P 1'
_symmetry_Int_Tables_number 1
loop_
_symmetry_equiv_pos_as_xyz
'x,y,z'
loop_
_atom_site_label
_atom_site_fract_x
_atom_site_fract_y
_atom_site_fract_z
Ba1 0.000 0.000 0.103
Ba2 0.000 0.000 0.313
Ba3 0.000 0.000 0.687
Ba4 0.000 0.000 0.897
Dy1 0.000 0.000 0.500
Tl1 0.500 0.500 0.000
Tl2 0.500 0.500 0.206
Tl3 0.500 0.500 0.422
Tl4 0.500 0.500 0.578
Tl5 0.500 0.500 0.794
```

=====

2.
Pm6Ga6Hg: computed powder X-ray diffraction pattern (Cu Ka), based on a DFT-relaxed cell (PBE, Alexandria).

The 12 most intense peaks (5 to 70 degrees two-theta), sorted by position:
2θ/deg, intensity
29.34, 100.0
30.86, 37.0
34.01, 32.1
34.12, 74.7
34.48, 43.8
38.27, 67.2
39.38, 19.3
45.89, 36.9
52.03, 20.5
55.16, 18.9
60.86, 33.4
61.54, 29.4

```
data_Pm6Ga6Hg
_cell_length_a 6.088
_cell_length_b 6.088
_cell_length_c 10.405
_cell_angle_alpha 90.00
_cell_angle_beta 90.00
_cell_angle_gamma 120.00
_symmetry_space_group_name_H-M 'P 1'
_symmetry_Int_Tables_number 1
loop_
_symmetry_equiv_pos_as_xyz
'x,y,z'
loop_
_atom_site_label
_atom_site_fract_x
_atom_site_fract_y
_atom_site_fract_z
Pm1 0.000 0.000 0.201
Pm2 0.000 0.000 0.799
Pm3 0.333 0.667 0.000
Pm4 0.333 0.667 0.500
Pm5 0.667 0.333 0.000
Pm6 0.667 0.333 0.500
Ga1 0.000 0.500 0.248
Ga2 0.000 0.500 0.752
Ga3 0.500 0.000 0.248
Ga4 0.500 0.000 0.752
Ga5 0.500 0.500 0.248
Ga6 0.500 0.500 0.752
Hg1 0.000 0.000 0.500
```

=====

3.
AcNd3P4: computed powder X-ray diffraction pattern (Cu Ka), based on a DFT-relaxed cell (PBE, Alexandria).

The 12 most intense peaks (5 to 70 degrees two-theta), sorted by position:
2θ/deg, intensity
14.76, 4.5
20.93, 4.2
25.71, 87.4
29.77, 100.0
33.38, 2.8
36.68, 2.2
42.61, 74.6
45.33, 1.6
50.43, 44.5
52.84, 26.4
61.83, 12.4
68.09, 18.2

```
data_AcNd3P4
_cell_length_a 6.002
_cell_length_b 6.002
_cell_length_c 6.002
_cell_angle_alpha 90.00
_cell_angle_beta 90.00
_cell_angle_gamma 90.00
_symmetry_space_group_name_H-M 'P 1'
_symmetry_Int_Tables_number 1
loop_
_symmetry_equiv_pos_as_xyz
'x,y,z'
loop_
_atom_site_label
_atom_site_fract_x
_atom_site_fract_y
_atom_site_fract_z
Ac1 0.000 0.000 0.000
Nd1 0.000 0.500 0.500
Nd2 0.500 0.000 0.500
Nd3 0.500 0.500 0.000
P1 0.000 0.000 0.500
P2 0.000 0.500 0.000
P3 0.500 0.000 0.000
P4 0.500 0.500 0.500
```

=====

4.
Er2Mg3Al2: computed powder X-ray diffraction pattern (Cu Ka), based on a DFT-relaxed cell (PBE, Alexandria).

The 12 most intense peaks (5 to 70 degrees two-theta), sorted by position:
2θ/deg, intensity
8.29, 100.0
16.62, 24.7
20.24, 28.1
23.46, 77.0
25.04, 34.6
26.10, 23.7
33.25, 54.6
35.37, 74.8
35.62, 42.5
36.48, 55.5
40.23, 26.1
55.42, 33.1

```
data_Er2Mg3Al2
_cell_length_a 10.902
_cell_length_b 10.902
_cell_length_c 3.415
_cell_angle_alpha 90.00
_cell_angle_beta 90.00
_cell_angle_gamma 156.27
_symmetry_space_group_name_H-M 'P 1'
_symmetry_Int_Tables_number 1
loop_
_symmetry_equiv_pos_as_xyz
'x,y,z'
loop_
_atom_site_label
_atom_site_fract_x
_atom_site_fract_y
_atom_site_fract_z
Er1 0.162 0.838 0.000
Er2 0.838 0.162 0.000
Mg1 0.000 0.000 0.000
Mg2 0.425 0.575 0.500
Mg3 0.575 0.425 0.500
Al1 0.284 0.716 0.500
Al2 0.716 0.284 0.500
```

=====

5.
HfTi4Ga: computed powder X-ray diffraction pattern (Cu Ka), based on a DFT-relaxed cell (PBE, Alexandria).

The 12 most intense peaks (5 to 70 degrees two-theta), sorted by position:
2θ/deg, intensity
9.13, 49.5
18.32, 34.0
26.86, 32.8
30.36, 24.8
31.34, 16.5
37.74, 100.0
38.71, 95.3
40.40, 80.6
43.14, 17.8
51.75, 20.3
57.04, 12.5
67.62, 32.8

```
data_HfTi4Ga
_cell_length_a 10.311
_cell_length_b 10.168
_cell_length_c 4.694
_cell_angle_alpha 78.46
_cell_angle_beta 75.05
_cell_angle_gamma 26.49
_symmetry_space_group_name_H-M 'P 1'
_symmetry_Int_Tables_number 1
loop_
_symmetry_equiv_pos_as_xyz
'x,y,z'
loop_
_atom_site_label
_atom_site_fract_x
_atom_site_fract_y
_atom_site_fract_z
Hf1 0.248 0.752 0.248
Hf2 0.752 0.248 0.752
Ti1 0.074 0.580 0.420
Ti2 0.180 0.632 0.820
Ti3 0.368 0.820 0.632
Ti4 0.420 0.926 0.074
Ti5 0.580 0.074 0.926
Ti6 0.632 0.180 0.368
Ti7 0.820 0.368 0.180
Ti8 0.926 0.420 0.580
Ga1 0.000 0.500 0.000
Ga2 0.500 0.000 0.500
```

=====

> Number 3 is which compound?

AcNd3P4